(1)
For Dy2YIn3CuGe2, DFT lattice parameters and positions (PBE) gives the theoretical XRD peak list in this record (CuKα).

The 10 most intense peaks (2θ from 10° to 80°), sorted by position:
hkl 1 0 2, 2θ = 32.16°, d = 2.784 Å, I 1000
hkl 1 2 2, 2θ = 35.15°, d = 2.553 Å, I 672
hkl 0 5 1, 2θ = 37.09°, d = 2.424 Å, I 502
hkl 0 3 3, 2θ = 42.28°, d = 2.138 Å, I 222
hkl 2 0 0, 2θ = 42.85°, d = 2.110 Å, I 254
hkl 1 5 1, 2θ = 43.03°, d = 2.102 Å, I 206
hkl 1 5 3, 2θ = 56.11°, d = 1.639 Å, I 177
hkl 2 5 1, 2θ = 57.94°, d = 1.592 Å, I 269
hkl 2 3 3, 2θ = 61.77°, d = 1.502 Å, I 141
hkl 1 7 3, 2θ = 67.40°, d = 1.389 Å, I 219

Atomic structure:
```
data_Dy2YIn3CuGe2
_chemical_formula_sum 'Dy4 Y2 In6 Cu2 Ge4'
_cell_length_a 4.2209
_cell_length_b 12.8309
_cell_length_c 7.4037
_cell_angle_alpha 90.00
_cell_angle_beta 90.00
_cell_angle_gamma 90.00
_space_group_name_H-M_alt 'A m m 2'
_space_group_IT_number 38
loop_
_space_group_symop_operation_xyz
'x,y,z'
'-x,-y,z'
'-x,y,z'
'x,-y,z'
'x,y+1/2,z+1/2'
'-x,-y+1/2,z+1/2'
'-x,y+1/2,z+1/2'
'x,-y+1/2,z+1/2'
loop_
_atom_site_label
_atom_site_fract_x
_atom_site_fract_y
_atom_site_fract_z
Dy1 0.0000 0.2012 0.0000
Y1 0.0000 0.0000 0.3966
In1 0.5000 0.0000 0.0421
In2 0.5000 0.1214 0.6774
Cu1 0.0000 0.0000 0.8002
Ge1 0.5000 0.1671 0.2987
```

(2)
For ScZnCd, DFT lattice parameters and positions (PBE) gives the theoretical XRD peak list in this record (CuKα).

The 10 most intense peaks (2θ from 10° to 80°), sorted by position:
hkl 1 1 1, 2θ = 23.54°, d = 3.779 Å, I 188
hkl 2 0 0, 2θ = 27.25°, d = 3.273 Å, I 487
hkl 2 2 0, 2θ = 38.91°, d = 2.314 Å, I 1000
hkl 3 1 1, 2θ = 45.98°, d = 1.974 Å, I 86
hkl 2 2 2, 2θ = 48.15°, d = 1.890 Å, I 136
hkl 4 0 0, 2θ = 56.21°, d = 1.637 Å, I 161
hkl 3 3 1, 2θ = 61.77°, d = 1.502 Å, I 34
hkl 4 2 0, 2θ = 63.56°, d = 1.464 Å, I 172
hkl 4 2 2, 2θ = 70.47°, d = 1.336 Å, I 314
hkl 5 1 1, 2θ = 75.46°, d = 1.260 Å, I 25

Atomic structure:
```
data_ScZnCd
_chemical_formula_sum 'Sc4 Zn4 Cd4'
_cell_length_a 6.5462
_cell_length_b 6.5462
_cell_length_c 6.5462
_cell_angle_alpha 90.00
_cell_angle_beta 90.00
_cell_angle_gamma 90.00
_space_group_name_H-M_alt 'F -4 3 m'
_space_group_IT_number 216
_space_group_name_Hall 'F -4 2 3'
loop_
_atom_site_label
_atom_site_fract_x
_atom_site_fract_y
_atom_site_fract_z
Sc1 0.0000 0.0000 0.0000
Zn1 0.2500 0.2500 0.2500
Cd1 0.2500 0.2500 0.7500
```

(3)
For Tb2YCu4Si2Ge2, DFT lattice parameters and positions (PBE) gives the theoretical XRD peak list in this record (CuKα).

The 10 most intense peaks (2θ from 10° to 80°), sorted by position:
hkl 0 0 2, 2θ = 12.79°, d = 6.922 Å, I 150
hkl 0 2 0, 2θ = 27.06°, d = 3.296 Å, I 155
hkl 1 2 1, 2θ = 35.20°, d = 2.549 Å, I 1000
hkl 1 1 4, 2θ = 36.30°, d = 2.475 Å, I 990
hkl 0 0 6, 2θ = 39.03°, d = 2.308 Å, I 131
hkl 1 2 3, 2θ = 39.89°, d = 2.260 Å, I 363
hkl 2 0 0, 2θ = 43.10°, d = 2.099 Å, I 350
hkl 0 3 3, 2θ = 45.74°, d = 1.984 Å, I 224
hkl 2 1 5, 2θ = 56.79°, d = 1.621 Å, I 138
hkl 2 3 3, 2θ = 64.65°, d = 1.442 Å, I 153

Atomic structure:
```
data_Tb2YCu4Si2Ge2
_chemical_formula_sum 'Tb4 Y2 Cu8 Si4 Ge4'
_cell_length_a 4.1975
_cell_length_b 6.5915
_cell_length_c 13.8449
_cell_angle_alpha 90.00
_cell_angle_beta 90.00
_cell_angle_gamma 90.00
_space_group_name_H-M_alt 'I m m m'
_space_group_IT_number 71
_space_group_name_Hall '-I 2 2'
loop_
_atom_site_label
_atom_site_fract_x
_atom_site_fract_y
_atom_site_fract_z
Tb1 0.0000 0.0000 0.1303
Y1 0.0000 0.5000 0.0000
Cu1 0.0000 0.1895 0.3373
Si1 0.0000 0.3170 0.5000
Ge1 0.0000 0.5000 0.2165
```